Diffraction record for NaInReTc. The powder diffraction line list is theoretical, not measured: it uses the GGA-PBE geometry in OQMD and Cu Kα (λ = 1.5418 Å).
Lines closer than 0.1° are merged.

Largest 10 diffraction maxima, by angle, 2θ from 15° to 90°:
two_theta  I_rel
24.01  14
27.79  22
39.71  100
46.94  7
49.16  6
57.42  17
63.13  3
64.96  8
72.07  34
85.58  11

Crystal structure
```
data_NaInReTc
_chemical_formula_sum 'Na4 In4 Re4 Tc4'
_cell_length_a 6.420
_cell_length_b 6.420
_cell_length_c 6.420
_cell_angle_alpha 90.00
_cell_angle_beta 90.00
_cell_angle_gamma 90.00
_symmetry_space_group_name_H-M 'F -4 3 m'
_symmetry_Int_Tables_number 216
_symmetry_space_group_name_Hall 'F -4 2 3'
loop_
_atom_site_label
_atom_site_fract_x
_atom_site_fract_y
_atom_site_fract_z
_atom_site_occupancy
Na1 0.000 0.000 0.000 1
In1 0.250 0.250 0.750 1
Re1 0.250 0.250 0.250 1
Tc1 0.000 0.000 0.500 1
```

Diffraction record for Na4Zn3In. The powder diffraction line list is theoretical, not measured: it uses the GGA-PBE geometry in OQMD and Cu Kα (λ = 1.5418 Å).
Lines closer than 0.1° are merged.

Largest 10 diffraction maxima, by angle, 2θ from 15° to 90°:
two_theta  I_rel
21.85  37
36.05  100
42.51  13
42.63  6
51.83  11
56.96  8
64.77  22
64.91  11
76.52  6
87.45  9

Crystal structure
```
data_Na4Zn3In
_chemical_formula_sum 'Na4 Zn3 In1'
_cell_length_a 4.989
_cell_length_b 4.989
_cell_length_c 7.029
_cell_angle_alpha 90.00
_cell_angle_beta 90.00
_cell_angle_gamma 90.00
_symmetry_space_group_name_H-M 'P -4 m 2'
_symmetry_Int_Tables_number 115
_symmetry_space_group_name_Hall 'P -4 -2'
loop_
_atom_site_label
_atom_site_fract_x
_atom_site_fract_y
_atom_site_fract_z
_atom_site_occupancy
Na1 0.000 0.000 0.000 1
Na2 0.000 0.500 0.734 1
Na3 0.500 0.500 0.500 1
Zn1 0.000 0.000 0.500 1
Zn2 0.000 0.500 0.253 1
In1 0.500 0.500 0.000 1
```